[1]
The following is a calculated powder XRD pattern of As2C. It was derived from a crystal structure in Alexandria, relaxed with PBE, using Cu Kα, 1.54184 Å.

Cell and atoms:
abc: 3.0336 3.0336 6.2023
angles: 90.00 90.00 90.00
Space group P-4m2 (No. 115)
One atom of each set of equivalent atoms:
As  0.0000  0.5000  0.2084 x2
C  0.5000  0.5000  0.0000 x1

The 12 most intense peaks (15° ≤ 2θ ≤ 90°), sorted by position:
d/Å, 2θ (°), intensity
3.101, 28.79, 24
2.725, 32.87, 100
2.169, 41.65, 14
2.145, 42.13, 23
1.764, 51.82, 25
1.708, 53.65, 13
1.517, 61.09, 10
1.489, 62.38, 9
1.381, 67.89, 9
1.363, 68.91, 8
1.325, 71.14, 21
1.134, 85.64, 7



[2]
The following is a calculated powder XRD pattern of Ac3LaNd8. It was derived from a crystal structure in Alexandria, relaxed with PBE, using Cu Kα, 1.54184 Å.

Cell and atoms:
abc: 6.6788 11.8286 12.1865
angles: 90.00 90.00 90.00
Space group Immm (No. 71)
One atom of each set of equivalent atoms:
Ac  0.0000  0.0000  0.0000 x2
Ac  0.0000  0.2455  0.5000 x4
La  0.0000  0.5000  0.0000 x2
Nd  0.0000  0.2519  0.1765 x8
Nd  0.2455  0.0000  0.2577 x8

The 12 most intense peaks (15° ≤ 2θ ≤ 90°), sorted by position:
d/Å, 2θ (°), intensity
4.162, 21.35, 35
3.047, 29.31, 20
2.993, 29.85, 100
2.957, 30.22, 49
2.928, 30.53, 26
2.908, 30.75, 38
2.624, 34.17, 27
2.081, 43.49, 20
1.854, 49.14, 25
1.735, 52.75, 20
1.714, 53.45, 20
1.497, 62.01, 25



[3]
The following is a calculated powder XRD pattern of Ta14NbV. It was derived from a crystal structure in Alexandria, relaxed with PBE, using Cu Kα, 1.54184 Å.

Cell and atoms:
abc: 6.6251 9.3556 9.3351
angles: 90.00 90.00 90.00
Space group Cmmm (No. 65)
One atom of each set of equivalent atoms:
Ta  0.0000  0.0000  0.0000 x2
Ta  0.0000  0.2488  0.2494 x8
Ta  0.0000  0.5000  0.0000 x2
Ta  0.2474  0.0000  0.2567 x8
Ta  0.2500  0.2500  0.0000 x4
Ta  0.2500  0.2500  0.5000 x4
Nb  0.0000  0.5000  0.5000 x2
V  0.0000  0.0000  0.5000 x2

The 12 most intense peaks (15° ≤ 2θ ≤ 90°), sorted by position:
d/Å, 2θ (°), intensity
4.673, 18.99, 1
3.307, 26.96, 1
3.118, 28.63, 1
2.702, 33.15, 1
2.594, 34.58, 1
2.338, 38.50, 100
1.656, 55.48, 6
1.652, 55.63, 11
1.351, 69.60, 24
1.348, 69.74, 12
1.170, 82.47, 9
1.167, 82.70, 2



[4]
The following is a calculated powder XRD pattern of Pm2PaGe. It was derived from a crystal structure in Alexandria, relaxed with PBE, using Cu Kα, 1.54184 Å.

Cell and atoms:
abc: 3.8195 3.8195 7.1463
angles: 90.00 90.00 90.00
Space group P4/mmm (No. 123)
One atom of each set of equivalent atoms:
Pm  0.0000  0.0000  0.2177 x2
Pa  0.5000  0.5000  0.5000 x1
Ge  0.5000  0.5000  0.0000 x1

The 12 most intense peaks (15° ≤ 2θ ≤ 90°), sorted by position:
d/Å, 2θ (°), intensity
3.369, 26.46, 26
2.701, 33.17, 60
2.609, 34.37, 100
1.910, 47.62, 22
1.787, 51.13, 17
1.661, 55.30, 7
1.541, 60.03, 41
1.490, 62.31, 20
1.305, 72.44, 9
1.208, 79.33, 10
1.199, 80.00, 9
1.096, 89.38, 7



[5]
The following is a calculated powder XRD pattern of Cd2Rh. It was derived from a crystal structure in Alexandria, relaxed with PBE, using Cu Kα, 1.54184 Å.

Cell and atoms:
abc: 4.1153 4.1153 25.6097
angles: 90.00 90.00 90.00
Space group I4_1/amd (No. 141, origin choice 2)
One atom of each set of equivalent atoms:
Cd  0.0000  0.2500  0.1239 x8
Cd  0.0000  0.2500  0.2871 x8
Rh  0.0000  0.2500  0.7963 x8

The 12 most intense peaks (15° ≤ 2θ ≤ 90°), sorted by position:
d/Å, 2θ (°), intensity
3.208, 27.81, 1
2.404, 37.40, 100
2.341, 38.46, 1
2.134, 42.35, 16
2.058, 44.01, 32
1.577, 58.53, 1
1.481, 62.72, 20
1.455, 63.99, 10
1.278, 74.19, 11
1.252, 76.04, 1
1.245, 76.53, 23
1.202, 79.77, 10



[6]
The following is a calculated powder XRD pattern of AcPd3PbAu. It was derived from a crystal structure in Alexandria, relaxed with PBE, using Cu Kα, 1.54184 Å.

Cell and atoms:
abc: 5.9916 12.5407 7.4650
angles: 90.00 90.00 90.00
Space group Cmcm (No. 63)
One atom of each set of equivalent atoms:
Ac  0.0000  0.1648  0.2500 x4
Pd  0.0000  0.3602  0.7500 x4
Pd  0.2389  0.0000  0.0000 x8
Pb  0.0000  0.1367  0.7500 x4
Au  0.0000  0.4059  0.2500 x4

The 12 most intense peaks (15° ≤ 2θ ≤ 90°), sorted by position:
d/Å, 2θ (°), intensity
3.733, 23.84, 50
3.428, 25.99, 18
3.207, 27.82, 24
2.996, 29.82, 29
2.891, 30.94, 19
2.525, 35.56, 21
2.401, 37.46, 72
2.336, 38.53, 100
2.166, 41.70, 53
1.866, 48.80, 26
1.414, 66.09, 28
1.271, 74.69, 19